[1]
The following is a computed powder X-ray diffraction pattern of GdB4. It was derived from a PBE-relaxed structure, using Cu Kα.

Crystal structure
Cell lengths 7.134, 7.134, 4.048 Å; angles 90.00, 90.00, 90.00 degrees
Positions (direct):
Gd1 0.183 0.317 0.000
Gd2 0.317 0.817 0.000
Gd3 0.683 0.183 0.000
Gd4 0.817 0.683 0.000
B1 0.000 0.000 0.203
B2 0.000 0.000 0.797
B3 0.039 0.824 0.500
B4 0.087 0.587 0.500
B5 0.176 0.039 0.500
B6 0.324 0.539 0.500
B7 0.413 0.087 0.500
B8 0.461 0.324 0.500
B9 0.500 0.500 0.203
B10 0.500 0.500 0.797
B11 0.539 0.676 0.500
B12 0.587 0.913 0.500
B13 0.676 0.461 0.500
B14 0.824 0.961 0.500
B15 0.913 0.413 0.500
B16 0.961 0.176 0.500

The 6 most intense peaks (2θ from 10° to 90°), by intensity:
2θ 35.84, I 100
2θ 27.97, I 77
2θ 21.96, I 58
2θ 33.48, I 56
2θ 24.96, I 39
2θ 57.97, I 35

***

[2]
The following is a computed powder X-ray diffraction pattern of Nd2Si3Rh. It was derived from a PBE-relaxed structure, using Cu Kα.

Crystal structure
Cell lengths 8.288, 8.288, 8.367 Å; angles 90.00, 90.00, 120.00 degrees
Positions (direct):
Nd1 0.000 0.000 0.250
Nd2 0.000 0.000 0.750
Nd3 0.004 0.502 0.250
Nd4 0.498 0.502 0.250
Nd5 0.498 0.996 0.250
Nd6 0.502 0.004 0.750
Nd7 0.502 0.498 0.750
Nd8 0.996 0.498 0.750
Si1 0.166 0.333 0.502
Si2 0.166 0.333 0.998
Si3 0.166 0.834 0.502
Si4 0.166 0.834 0.998
Si5 0.333 0.166 0.002
Si6 0.333 0.166 0.498
Si7 0.667 0.834 0.502
Si8 0.667 0.834 0.998
Si9 0.834 0.166 0.002
Si10 0.834 0.166 0.498
Si11 0.834 0.667 0.002
Si12 0.834 0.667 0.498
Rh1 0.333 0.667 0.506
Rh2 0.333 0.667 0.994
Rh3 0.667 0.333 0.006
Rh4 0.667 0.333 0.494

The 6 most intense peaks (2θ from 10° to 90°), by intensity:
2θ 32.88, I 100
2θ 43.69, I 35
2θ 24.81, I 25
2θ 63.16, I 23
2θ 55.74, I 22
2θ 73.38, I 19

***

[3]
The following is a computed powder X-ray diffraction pattern of Sc2FeSi2. It was derived from a PBE-relaxed structure, using Cu Kα.

Crystal structure
Cell lengths 5.327, 5.327, 9.407 Å; angles 116.32, 116.32, 43.91 degrees
Positions (direct):
Sc1 0.001 0.001 0.172
Sc2 0.185 0.185 0.608
Sc3 0.815 0.815 0.392
Sc4 0.999 0.999 0.828
Fe1 0.271 0.271 0.127
Fe2 0.729 0.729 0.873
Si1 0.354 0.354 0.935
Si2 0.493 0.493 0.626
Si3 0.507 0.507 0.374
Si4 0.646 0.646 0.065

The 6 most intense peaks (2θ from 10° to 90°), by intensity:
2θ 36.08, I 100
2θ 39.74, I 57
2θ 44.10, I 57
2θ 10.71, I 52
2θ 43.79, I 49
2θ 45.54, I 49

***

[4]
The following is a computed powder X-ray diffraction pattern of HfMg14GaO16. It was derived from a PBE-relaxed structure, using Cu Kα.

Crystal structure
Cell lengths 8.743, 8.743, 4.341 Å; angles 90.00, 90.00, 90.00 degrees
Positions (direct):
Hf1 0.000 0.000 0.000
Mg1 0.000 0.261 0.500
Mg2 0.000 0.500 0.000
Mg3 0.000 0.739 0.500
Mg4 0.251 0.500 0.500
Mg5 0.259 0.259 0.000
Mg6 0.259 0.741 0.000
Mg7 0.261 0.000 0.500
Mg8 0.500 0.000 0.000
Mg9 0.500 0.251 0.500
Mg10 0.500 0.749 0.500
Mg11 0.739 0.000 0.500
Mg12 0.741 0.259 0.000
Mg13 0.741 0.741 0.000
Mg14 0.749 0.500 0.500
Ga1 0.500 0.500 0.000
O1 0.000 0.000 0.500
O2 0.000 0.246 0.000
O3 0.000 0.500 0.500
O4 0.000 0.754 0.000
O5 0.225 0.500 0.000
O6 0.246 0.000 0.000
O7 0.249 0.249 0.500
O8 0.249 0.751 0.500
O9 0.500 0.000 0.500
O10 0.500 0.225 0.000
O11 0.500 0.500 0.500
O12 0.500 0.775 0.000
O13 0.751 0.249 0.500
O14 0.751 0.751 0.500
O15 0.754 0.000 0.000
O16 0.775 0.500 0.000

The 6 most intense peaks (2θ from 10° to 90°), by intensity:
2θ 41.30, I 100
2θ 14.33, I 60
2θ 60.08, I 59
2θ 41.61, I 50
2θ 35.66, I 50
2θ 25.07, I 39

***

[5]
The following is a computed powder X-ray diffraction pattern of UGaCu. It was derived from a PBE-relaxed structure, using Cu Kα.

Crystal structure
Cell lengths 4.642, 4.642, 5.673 Å; angles 90.00, 90.00, 120.00 degrees
Positions (direct):
U1 0.000 0.000 0.000
U2 0.000 0.000 0.500
Ga1 0.333 0.667 0.255
Ga2 0.667 0.333 0.755
Cu1 0.333 0.667 0.741
Cu2 0.667 0.333 0.241

The 6 most intense peaks (2θ from 10° to 90°), by intensity:
2θ 38.83, I 100
2θ 22.11, I 31
2θ 70.27, I 28
2θ 56.08, I 20
2θ 79.14, I 11
2θ 45.11, I 5